For ZrGa2Te4, a GGA-PBE-relaxed structure gives the simulated powder X-ray diffraction pattern in this record (Cu Kα (weighted mean of Kα1 and Kα2)).

The 10 most intense peaks (10° ≤ 2θ ≤ 90°), low angle first:
- (0 0 2), 2θ 12.7, intensity 26
- (1 1 0), 2θ 21.8, intensity 26
- (1 1 2), 2θ 25.3, intensity 61
- (2 0 0), 2θ 31.1, intensity 100
- (1 0 5), 2θ 35.8, intensity 60
- (2 0 4), 2θ 40.7, intensity 18
- (2 2 0), 2θ 44.5, intensity 37
- (2 1 5), 2θ 48.1, intensity 51
- (3 1 2), 2θ 51.9, intensity 17
- (3 2 5), 2θ 67.6, intensity 18

Crystal structure
```
14
Lattice="5.7553 0.0000 0.0000 0.0000 5.7553 0.0000 0.0000 0.0000 13.9439" Properties=species:S:1:pos:R:3 pbc="T T T"
Zr 0.0000 0.0000 0.0000
Zr 2.8776 2.8776 6.9719
Ga 0.0000 0.0000 5.5848
Ga 0.0000 0.0000 8.3590
Ga 2.8776 2.8776 1.3871
Ga 2.8776 2.8776 12.5568
Te 0.0000 0.0000 2.8281
Te 0.0000 0.0000 11.1158
Te 0.0000 2.8776 0.0000
Te 0.0000 2.8776 6.9719
Te 2.8776 0.0000 0.0000
Te 2.8776 0.0000 6.9719
Te 2.8776 2.8776 4.1439
Te 2.8776 2.8776 9.8000
```